1.
Simulated powder diffractogram of BiPW4C2 for Cu Ka, from a GGA-PBE-relaxed structure.
Intensities are scaled so that the largest is 100.

Top 6 peaks for 10 to 90 degrees two-theta, in order of rising 2θ:
d/Å  I (rel.)  hkl
2.826  41  1 0 0
2.585  44  1 0 2
2.558  25  0 0 5
2.355  100  1 0 3
1.632  33  1 1 0
1.375  23  1 1 5

Crystal structure
```
data_BiPW4C2
_space_group_name_H-M_alt 'P -6 m 2'
_space_group_IT_number 187
_space_group_name_Hall 'P -6 2'
_cell_length_a 3.2630
_cell_length_b 3.2630
_cell_length_c 12.7875
_cell_angle_alpha 90.00
_cell_angle_beta 90.00
_cell_angle_gamma 120.00
loop_
_atom_site_label
_atom_site_type_symbol
_atom_site_fract_x
_atom_site_fract_y
_atom_site_fract_z
Bi1 Bi 0.0000 0.0000 0.0000
P1 P 0.3333 0.6667 0.5000
W1 W 0.0000 0.0000 0.3715
W2 W 0.3333 0.6667 0.2031
C1 C 0.6667 0.3333 0.2722
```

---

2.
Simulated powder diffractogram of Ta4Bi3W2C3 for Cu Ka, from a GGA-PBE-relaxed structure.
Intensities are scaled so that the largest is 100.

Top 6 peaks for 10 to 90 degrees two-theta, in order of rising 2θ:
d/Å  I (rel.)  hkl
2.791  48  3 1 -2
2.611  79  3 1 1
2.450  55  0 0 6
2.443  100  0 2 3
2.274  64  3 1 -5
1.414  30  0 2 9

Crystal structure
```
data_Ta4Bi3W2C3
_space_group_name_H-M_alt 'C 1 2/c 1'
_space_group_IT_number 15
_cell_length_a 9.802
_cell_length_b 5.637
_cell_length_c 15.181
_cell_angle_alpha 90.00
_cell_angle_beta 104.45
_cell_angle_gamma 90.00
loop_
_space_group_symop_operation_xyz
'x,y,z'
'-x,-y,-z'
'-x,y,-z+1/2'
'x,-y,z+1/2'
'x+1/2,y+1/2,z'
'-x+1/2,-y+1/2,-z'
'-x+1/2,y+1/2,-z+1/2'
'x+1/2,-y+1/2,z+1/2'
loop_
_atom_site_label
_atom_site_type_symbol
_atom_site_fract_x
_atom_site_fract_y
_atom_site_fract_z
Ta1 Ta 0.032 0.170 0.077
Ta2 Ta 0.195 0.333 0.577
Bi1 Bi 0.000 0.375 0.250
Bi2 Bi 0.171 0.131 0.757
W1 W 0.141 0.332 0.929
C1 C 0.000 0.500 0.000
C2 C 0.166 0.004 0.499
```

---

3.
Simulated powder diffractogram of Cs4CdBi2Cl12 for Cu Ka, from a GGA-PBE-relaxed structure.
Intensities are scaled so that the largest is 100.

Top 6 peaks for 10 to 90 degrees two-theta, in order of rising 2θ:
d/Å  I (rel.)  hkl
6.245  21  0 1 2
3.824  100  1 1 0
2.704  55  2 0 8
2.208  46  3 0 0
1.912  38  2 2 0
1.710  21  3 1 8

Crystal structure
```
data_Cs4CdBi2Cl12
_space_group_name_H-M_alt 'R -3 m'
_space_group_IT_number 166
_space_group_name_Hall '-R 3 2"'
_cell_length_a 7.6428
_cell_length_b 7.6428
_cell_length_c 37.5298
_cell_angle_alpha 90.00
_cell_angle_beta 90.00
_cell_angle_gamma 120.00
loop_
_atom_site_label
_atom_site_type_symbol
_atom_site_fract_x
_atom_site_fract_y
_atom_site_fract_z
Cs1 Cs 0.0000 0.0000 0.1241
Cs2 Cs 0.0000 0.0000 0.3746
Cd1 Cd 0.0000 0.0000 0.5000
Bi1 Bi 0.0000 0.0000 0.2542
Cl1 Cl 0.0055 0.5027 0.3746
Cl2 Cl 0.0089 0.5045 0.1260
```